Simulated X-ray powder pattern
Compound: Li4CuNi3O8
Radiation: Cu Kα (weighted mean of Kα1 and Kα2)
Structure: a cell relaxed with GGA+U
Peak positions follow from Bragg's law for the DFT cell and can differ from measured ones.

Peak list (10 most intense, 2θ = 10–90°, in order of rising 2θ)
2θ/deg	Rel. int.	index
18.54	100	2 0 -1
33.85	24	2 0 1
37.22	24	0 2 1
38.10	11	2 2 0
40.56	31	4 0 0
45.42	44	2 2 -2
47.65	13	4 2 -1
59.75	10	4 2 -3
62.17	14	2 2 2
62.83	14	6 2 -2

Cell lengths 10.5158, 5.5744, 5.7260 Å; angles 90.00, 122.21, 90.00 degrees
Space group C2/m (No. 12)
One atom of each set of equivalent atoms:
Li (0.0000, 0.0000, 0.0000) [2 per cell]
Li (0.0000, 0.5000, 0.0000) [2 per cell]
Li (0.2500, 0.2500, 0.5000) [4 per cell]
Cu (0.0000, 0.0000, 0.5000) [2 per cell]
Ni (0.0000, 0.5000, 0.5000) [2 per cell]
Ni (0.2500, 0.2500, 0.0000) [4 per cell]
O (0.0035, 0.2450, 0.7265) [8 per cell]
O (0.2261, 0.5000, 0.1997) [4 per cell]
O (0.2469, 0.5000, 0.7671) [4 per cell]


Simulated X-ray powder pattern
Compound: Li2CuNiO4
Radiation: Cu Kα (weighted mean of Kα1 and Kα2)
Structure: a cell relaxed with GGA+U
Peak positions follow from Bragg's law for the DFT cell and can differ from measured ones.

Peak list (10 most intense, 2θ = 10–90°, in order of rising 2θ)
2θ/deg	Rel. int.	index
18.61	100	0 1 1
35.59	15	1 0 3
36.26	15	1 2 1
36.37	14	2 1 1
37.67	12	0 2 2
37.81	12	2 0 2
43.03	25	0 0 4
44.27	47	2 2 0
47.82	10	1 2 3
63.44	26	2 2 4

Cell lengths 5.7716, 5.8032, 8.4084 Å; angles 90.00, 90.00, 90.00 degrees
Space group Imma (No. 74)
One atom of each set of equivalent atoms:
Li (0.0000, 0.0000, 0.0000) [4 per cell]
Li (0.2500, 0.2500, 0.2500) [4 per cell]
Cu (0.0000, 0.0000, 0.5000) [4 per cell]
Ni (0.2500, 0.2500, 0.7500) [4 per cell]
O (0.0000, 0.0232, 0.7528) [8 per cell]
O (0.2404, 0.2500, 0.5221) [8 per cell]


> Number 2 is which compound?

Li2CuNiO4


Copy entry 1 word for word.
Simulated X-ray powder pattern
Compound: Li4CuNi3O8
Radiation: Cu Kα (weighted mean of Kα1 and Kα2)
Structure: a cell relaxed with GGA+U
Peak positions follow from Bragg's law for the DFT cell and can differ from measured ones.

Peak list (10 most intense, 2θ = 10–90°, in order of rising 2θ)
2θ/deg	Rel. int.	index
18.54	100	2 0 -1
33.85	24	2 0 1
37.22	24	0 2 1
38.10	11	2 2 0
40.56	31	4 0 0
45.42	44	2 2 -2
47.65	13	4 2 -1
59.75	10	4 2 -3
62.17	14	2 2 2
62.83	14	6 2 -2

Cell lengths 10.5158, 5.5744, 5.7260 Å; angles 90.00, 122.21, 90.00 degrees
Space group C2/m (No. 12)
One atom of each set of equivalent atoms:
Li (0.0000, 0.0000, 0.0000) [2 per cell]
Li (0.0000, 0.5000, 0.0000) [2 per cell]
Li (0.2500, 0.2500, 0.5000) [4 per cell]
Cu (0.0000, 0.0000, 0.5000) [2 per cell]
Ni (0.0000, 0.5000, 0.5000) [2 per cell]
Ni (0.2500, 0.2500, 0.0000) [4 per cell]
O (0.0035, 0.2450, 0.7265) [8 per cell]
O (0.2261, 0.5000, 0.1997) [4 per cell]
O (0.2469, 0.5000, 0.7671) [4 per cell]